# 1
Starting from the GGA-PBE geometry in Alexandria, the powder diffractogram of CeCdInSn was computed for Cu Kα.
Neutral-atom scattering factors, no anomalous dispersion.

Peak list (6 most intense, 2θ from 10° to 80°, sorted by position)
2θ = 33.13°, intensity 100.0, (1 1 1)
2θ = 36.83°, intensity 18.8, (0 0 2)
2θ = 38.79°, intensity 16.2, (0 2 0)
2θ = 39.68°, intensity 15.2, (2 0 0)
2θ = 64.00°, intensity 14.7, (1 1 3)
2θ = 66.65°, intensity 13.0, (1 3 1)

Crystal structure
abc: 4.5433 4.6432 4.8812
angles: 90.00 90.00 90.00
Space group Pmmm (No. 47)
Inequivalent atoms, fractional coordinates:
Ce 0.0000 0.0000 0.0000
Cd 0.0000 0.5000 0.5000
In 0.5000 0.0000 0.5000
Sn 0.5000 0.5000 0.0000



# 2
Starting from the GGA-PBE geometry in Alexandria, the powder diffractogram of InSn2Te2 was computed for Cu Kα.
Neutral-atom scattering factors, no anomalous dispersion.

Peak list (6 most intense, 2θ from 10° to 80°, sorted by position)
2θ = 29.42°, intensity 42.7, (2 2 0)
2θ = 31.44°, intensity 58.0, (1 1 1)
2θ = 31.60°, intensity 55.7, (3 1 -1)
2θ = 32.16°, intensity 100.0, (2 2 -1)
2θ = 43.92°, intensity 25.0, (2 0 -2)
2θ = 63.77°, intensity 30.3, (1 5 1)

Crystal structure
abc: 9.7550 8.3359 4.1234
angles: 90.00 114.68 90.00
Space group C2/m (No. 12)
Inequivalent atoms, fractional coordinates:
In 0.0000 0.0000 0.0000
Sn 0.0000 0.2911 0.5000
Te 0.2210 0.5000 0.2260



# 3
Starting from the GGA-PBE geometry in Alexandria, the powder diffractogram of ThSeBr3 was computed for Cu Kα.
Neutral-atom scattering factors, no anomalous dispersion.

Peak list (6 most intense, 2θ from 10° to 80°, sorted by position)
2θ = 11.85°, intensity 100.0, (1 1 0)
2θ = 14.79°, intensity 26.9, (0 2 0)
2θ = 25.25°, intensity 33.1, (0 2 2)
2θ = 29.04°, intensity 24.4, (3 1 0)
2θ = 31.78°, intensity 33.2, (1 3 2)
2θ = 41.79°, intensity 18.6, (3 3 2)

Crystal structure
abc: 9.5442 11.9822 8.7287
angles: 90.00 90.00 90.00
Space group Ima2 (No. 46)
Inequivalent atoms, fractional coordinates:
Th 0.2500 0.2312 0.0000
Se 0.2500 0.0890 0.2687
Br 0.0292 0.6879 0.5667
Br 0.2500 0.0855 0.7289



# 4
Starting from the GGA-PBE geometry in Alexandria, the powder diffractogram of ZnIn4Hg9 was computed for Cu Kα.
Neutral-atom scattering factors, no anomalous dispersion.

Peak list (6 most intense, 2θ from 10° to 80°, sorted by position)
2θ = 30.27°, intensity 32.4, (1 0 3)
2θ = 33.73°, intensity 64.6, (3 0 1)
2θ = 34.27°, intensity 100.0, (2 1 2)
2θ = 35.72°, intensity 40.1, (2 0 3)
2θ = 56.40°, intensity 30.6, (3 2 3)
2θ = 59.07°, intensity 33.6, (3 0 5)

Crystal structure
abc: 9.5886 9.5886 9.4760
angles: 90.00 90.00 120.00
Space group P6_3/mmc (No. 194)
Inequivalent atoms, fractional coordinates:
Zn 0.3333 0.6667 0.2500
In 0.0000 0.0000 0.0000
In 0.1250 0.2500 0.7500
Hg 0.0811 0.5405 0.7500
Hg 0.2072 0.4144 0.0525



# 5
Starting from the GGA-PBE geometry in Alexandria, the powder diffractogram of Li8Ag6Au was computed for Cu Kα.
Neutral-atom scattering factors, no anomalous dispersion.

Peak list (6 most intense, 2θ from 10° to 80°, sorted by position)
2θ = 14.14°, intensity 22.8, (1 0 1)
2θ = 16.51°, intensity 100.0, (0 0 3)
2θ = 28.16°, intensity 71.6, (1 1 3)
2θ = 39.77°, intensity 62.1, (3 0 0)
2θ = 40.72°, intensity 63.0, (2 -1 6)
2θ = 43.33°, intensity 49.2, (0 3 3)

Crystal structure
abc: 7.8520 7.8520 16.1038
angles: 90.00 90.00 120.00
Space group R-3 (No. 148, hexagonal axes)
Inequivalent atoms, fractional coordinates:
Li 0.0000 0.0000 0.2126
Li 0.0085 0.7291 0.6194
Ag 0.0084 0.3169 0.8781
Au 0.0000 0.0000 0.5000



# 6
Starting from the GGA-PBE geometry in Alexandria, the powder diffractogram of LaTbScIn was computed for Cu Kα.
Neutral-atom scattering factors, no anomalous dispersion.

Peak list (6 most intense, 2θ from 10° to 80°, sorted by position)
2θ = 23.03°, intensity 10.0, (2 0 0)
2θ = 32.79°, intensity 100.0, (2 2 0)
2θ = 47.06°, intensity 18.0, (4 0 0)
2θ = 58.54°, intensity 37.0, (4 2 2)
2θ = 68.75°, intensity 11.3, (4 4 0)
2θ = 78.28°, intensity 15.7, (6 2 0)

Crystal structure
abc: 7.7244 7.7244 7.7244
angles: 90.00 90.00 90.00
Space group F-43m (No. 216)
Inequivalent atoms, fractional coordinates:
La 0.0000 0.0000 0.0000
Tb 0.0000 0.0000 0.5000
Sc 0.2500 0.2500 0.7500
In 0.2500 0.2500 0.2500



# 7
Starting from the GGA-PBE geometry in Alexandria, the powder diffractogram of TaTi4Cu was computed for Cu Kα.
Neutral-atom scattering factors, no anomalous dispersion.

Peak list (6 most intense, 2θ from 10° to 80°, sorted by position)
2θ = 11.65°, intensity 50.1, (0 0 1)
2θ = 22.64°, intensity 52.1, (0 1 1)
2θ = 39.06°, intensity 46.4, (1 0 2)
2θ = 39.27°, intensity 52.9, (0 2 0)
2θ = 39.39°, intensity 100.0, (1 1 -1)
2θ = 40.69°, intensity 89.6, (0 1 3)

Crystal structure
abc: 2.8432 4.5889 7.5998
angles: 89.93 88.45 89.94
Space group P1 (No. 1)
Inequivalent atoms, fractional coordinates:
Ta 0.0000 0.0000 0.0000
Ti 0.2712 0.5002 0.7981
Ti 0.2780 0.9992 0.3412
Ti 0.6088 0.4996 0.1482
Ti 0.6997 0.0002 0.6595
Cu 0.9096 0.4996 0.4783



# 8
Starting from the GGA-PBE geometry in Alexandria, the powder diffractogram of Sb2AuCl was computed for Cu Kα.
Neutral-atom scattering factors, no anomalous dispersion.

Peak list (6 most intense, 2θ from 10° to 80°, sorted by position)
2θ = 14.06°, intensity 87.8, (0 0 2)
2θ = 26.02°, intensity 100.0, (1 1 2)
2θ = 30.55°, intensity 69.1, (1 1 3)
2θ = 31.56°, intensity 53.0, (2 1 1)
2θ = 43.47°, intensity 58.2, (3 0 3)
2θ = 44.30°, intensity 55.1, (1 2 3)

Crystal structure
abc: 7.1908 4.9537 12.6000
angles: 90.00 90.00 90.00
Space group Pnna (No. 52)
Inequivalent atoms, fractional coordinates:
Sb 0.0883 0.1927 0.0686
Au 0.2500 0.0000 0.5925
Cl 0.0683 0.2500 0.7500



# 9
Starting from the GGA-PBE geometry in Alexandria, the powder diffractogram of TaTi6Co5 was computed for Cu Kα.
Neutral-atom scattering factors, no anomalous dispersion.

Peak list (6 most intense, 2θ from 10° to 80°, sorted by position)
2θ = 16.11°, intensity 10.4, (0 1 1)
2θ = 42.19°, intensity 100.0, (1 2 3)
2θ = 42.46°, intensity 49.1, (2 0 0)
2θ = 61.61°, intensity 15.1, (2 0 6)
2θ = 76.95°, intensity 15.0, (2 4 0)
2θ = 77.50°, intensity 29.4, (3 2 3)

Crystal structure
abc: 4.2585 6.0947 12.7727
angles: 90.00 90.00 90.00
Space group Immm (No. 71)
Inequivalent atoms, fractional coordinates:
Ta 0.0000 0.0000 0.0000
Ti 0.0000 0.2406 0.5000
Ti 0.0000 0.2544 0.1700
Co 0.0000 0.0000 0.3305
Co 0.0000 0.5000 0.0000
Co 0.0000 0.5000 0.3300



# 10
Starting from the GGA-PBE geometry in Alexandria, the powder diffractogram of H8PtO6 was computed for Cu Kα.
Neutral-atom scattering factors, no anomalous dispersion.

Peak list (6 most intense, 2θ from 10° to 80°, sorted by position)
2θ = 19.35°, intensity 100.0, (1 0 1)
2θ = 19.90°, intensity 91.1, (0 1 1)
2θ = 20.15°, intensity 93.1, (0 1 -1)
2θ = 20.91°, intensity 80.3, (1 0 -1)
2θ = 21.18°, intensity 86.0, (1 1 0)
2θ = 24.02°, intensity 74.5, (0 0 2)

Crystal structure
abc: 5.5568 5.5890 7.4356
angles: 88.61 85.26 82.03
Space group P1 (No. 1)
Inequivalent atoms, fractional coordinates:
H 0.0000 0.0000 0.0000
H 0.0152 0.3680 0.3791
H 0.0491 0.9041 0.2777
H 0.1170 0.4150 0.9262
H 0.2257 0.7379 0.7620
H 0.3123 0.9902 0.1737
H 0.3279 0.6871 0.5097
H 0.3816 0.0535 0.6714
H 0.4291 0.2969 0.7820
H 0.4552 0.4093 0.5060
H 0.6102 0.1224 0.2682
H 0.7059 0.6843 0.8739
H 0.7219 0.1348 0.0169
H 0.7620 0.7815 0.4147
H 0.8013 0.5496 0.1500
H 0.8887 0.4647 0.6509
Pt 0.3528 0.5171 0.1719
Pt 0.8558 0.0163 0.6713
O 0.0309 0.3974 0.2431
O 0.1847 0.8719 0.1697
O 0.2065 0.8594 0.6610
O 0.2740 0.4796 0.9146
O 0.4442 0.5616 0.4314
O 0.4980 0.1842 0.6742
O 0.5110 0.1688 0.1635
O 0.6651 0.6498 0.0887
O 0.7264 0.7022 0.7377
O 0.8275 0.9367 0.4112
O 0.8839 0.1152 0.9331
O 0.9949 0.3220 0.5907